The following is a calculated PXRD pattern of Fe2NiGe2. It was derived from a structure optimized by DFT (PBE), using a wavelength of 1.5418 Å.

Top 10 peaks for 2θ from 10° to 80°, in order of rising 2θ:
2θ/deg	I (rel.)	(hkl)
33.30	32.1	1 0 2
38.63	7.6	1 1 1
44.58	100.0	1 1 3
45.25	36.0	0 1 5
46.39	10.1	0 0 6
47.32	26.3	0 2 0
59.09	11.8	1 2 2
61.23	11.6	2 0 0
71.42	12.3	1 0 8
79.32	12.7	2 1 5

Cell and atoms:
Lattice parameters (Å, degrees): 3.0275 3.8422 11.7429 90.00 90.00 90.00
Space group Amm2 (No. 38)
Symmetry-distinct sites (fractional):
Fe (0.0000, 0.0000, 0.0000) (multiplicity 2)
Fe (0.5000, 0.0000, 0.4565) (multiplicity 2)
Ni (0.0000, 0.0000, 0.2637) (multiplicity 2)
Ge (0.0000, 0.0000, 0.6251) (multiplicity 2)
Ge (0.5000, 0.0000, 0.8258) (multiplicity 2)


The following is a calculated PXRD pattern of FeNi7Ge2P2. It was derived from a structure optimized by DFT (PBE), using a wavelength of 1.5418 Å.

Top 10 peaks for 2θ from 10° to 80°, in order of rising 2θ:
2θ/deg	I (rel.)	(hkl)
13.36	74.2	0 0 2
33.82	41.1	0 0 5
36.70	52.0	0 2 1
40.43	59.7	2 0 -3
40.54	55.2	2 0 2
41.61	57.8	0 2 3
48.06	44.9	0 0 7
48.34	45.1	2 0 4
50.26	59.1	0 2 5
52.43	100.0	2 2 -1

Cell and atoms:
Lattice parameters (Å, degrees): 4.9112 4.9837 13.3122 90.00 95.48 90.00
Space group C2/m (No. 12)
Symmetry-distinct sites (fractional):
Fe (0.0000, 0.0000, 0.0000) (multiplicity 2)
Ni (0.0000, 0.5000, 0.0000) (multiplicity 2)
Ni (0.1118, 0.5000, 0.4064) (multiplicity 4)
Ni (0.2135, 0.2500, 0.8614) (multiplicity 8)
Ge (0.1309, 0.0000, 0.4171) (multiplicity 4)
P (0.0629, 0.5000, 0.2409) (multiplicity 4)


The following is a calculated PXRD pattern of NpFeGe. It was derived from a structure optimized by DFT (PBE), using a wavelength of 1.5418 Å.

Top 10 peaks for 2θ from 10° to 80°, in order of rising 2θ:
2θ/deg	I (rel.)	(hkl)
24.01	41.3	1 0 0
36.04	100.0	1 0 1
42.23	48.3	1 1 0
49.16	6.6	2 0 0
54.52	7.6	0 0 2
56.70	27.5	2 0 1
60.40	7.4	1 0 2
71.28	20.4	1 1 2
73.17	25.9	2 1 1
77.21	8.2	3 0 0

Cell and atoms:
Lattice parameters (Å, degrees): 4.2800 4.2800 3.3663 90.00 90.00 120.00
Space group P-6m2 (No. 187)
Symmetry-distinct sites (fractional):
Np (0.0000, 0.0000, 0.0000) (multiplicity 1)
Fe (0.3333, 0.6667, 0.5000) (multiplicity 1)
Ge (0.6667, 0.3333, 0.5000) (multiplicity 1)


The following is a calculated PXRD pattern of Np4FeGe8. It was derived from a structure optimized by DFT (PBE), using a wavelength of 1.5418 Å.

Top 10 peaks for 2θ from 10° to 80°, in order of rising 2θ:
2θ/deg	I (rel.)	(hkl)
25.10	51.8	0 1 2
34.88	29.5	0 0 6
35.46	100.0	1 1 -3
35.70	96.2	1 1 3
35.91	22.1	1 0 -5
36.30	18.4	1 0 5
41.76	24.2	0 1 6
43.06	38.5	2 0 0
45.40	32.8	0 2 0
64.36	22.8	2 2 0

Cell and atoms:
Lattice parameters (Å, degrees): 4.2011 3.9957 15.4355 90.00 90.62 90.00
Space group Pm (No. 6)
Symmetry-distinct sites (fractional):
Np (0.0000, 0.0000, 0.0000) (multiplicity 1)
Np (0.0073, 0.5000, 0.1911) (multiplicity 1)
Np (0.5142, 0.0000, 0.4902) (multiplicity 1)
Np (0.5242, 0.5000, 0.7076) (multiplicity 1)
Fe (0.0190, 0.5000, 0.4093) (multiplicity 1)
Ge (0.0099, 0.0000, 0.3286) (multiplicity 1)
Ge (0.0177, 0.5000, 0.5608) (multiplicity 1)
Ge (0.0230, 0.0000, 0.6691) (multiplicity 1)
Ge (0.0372, 0.5000, 0.8522) (multiplicity 1)
Ge (0.4867, 0.0000, 0.8558) (multiplicity 1)
Ge (0.5007, 0.5000, 0.0363) (multiplicity 1)
Ge (0.5052, 0.0000, 0.1528) (multiplicity 1)
Ge (0.5142, 0.5000, 0.3307) (multiplicity 1)


The following is a calculated PXRD pattern of NpFe6Ge6. It was derived from a structure optimized by DFT (PBE), using a wavelength of 1.5418 Å.

Top 10 peaks for 2θ from 10° to 80°, in order of rising 2θ:
2θ/deg	I (rel.)	(hkl)
10.86	22.1	0 0 1
22.87	27.3	1 0 1
35.12	72.1	1 1 0
38.91	48.0	1 0 3
40.78	50.8	2 0 0
41.73	100.0	1 1 2
44.48	22.9	0 0 4
48.94	25.1	1 1 3
67.53	23.4	3 0 2
74.23	25.8	2 2 0

Cell and atoms:
Lattice parameters (Å, degrees): 5.1105 5.1105 8.1473 90.00 90.00 120.00
Space group P6/mmm (No. 191)
Symmetry-distinct sites (fractional):
Np (0.0000, 0.0000, 0.0000) (multiplicity 1)
Fe (0.0000, 0.5000, 0.2510) (multiplicity 6)
Ge (0.0000, 0.0000, 0.3467) (multiplicity 2)
Ge (0.3333, 0.6667, 0.0000) (multiplicity 2)
Ge (0.3333, 0.6667, 0.5000) (multiplicity 2)


The following is a calculated PXRD pattern of NpFe3Ge3. It was derived from a structure optimized by DFT (PBE), using a wavelength of 1.5418 Å.

Top 10 peaks for 2θ from 10° to 80°, in order of rising 2θ:
2θ/deg	I (rel.)	(hkl)
19.38	12.3	1 1 0
27.55	42.8	2 0 0
33.91	100.0	2 1 1
44.23	3.6	3 1 0
48.71	2.4	2 2 2
52.90	56.6	3 2 1
56.87	16.7	4 0 0
64.33	15.7	4 2 0
67.88	13.3	3 3 2
74.74	2.8	5 1 0

Cell and atoms:
Lattice parameters (Å, degrees): 6.4762 6.4762 6.4762 90.00 90.00 90.00
Space group Pm-3n (No. 223)
Symmetry-distinct sites (fractional):
Np (0.0000, 0.0000, 0.0000) (multiplicity 2)
Fe (0.0000, 0.2500, 0.5000) (multiplicity 6)
Ge (0.0000, 0.5000, 0.2500) (multiplicity 6)


The following is a calculated PXRD pattern of Np3Fe2Ge4. It was derived from a structure optimized by DFT (PBE), using a wavelength of 1.5418 Å.

Top 10 peaks for 2θ from 10° to 80°, in order of rising 2θ:
2θ/deg	I (rel.)	(hkl)
22.04	43.3	2 0 -2
23.42	90.2	1 1 -1
33.75	43.2	3 1 -1
36.47	25.6	4 0 -1
37.74	46.4	3 1 0
38.02	42.6	0 0 3
38.50	83.1	1 1 2
39.51	100.0	3 1 -3
41.96	53.0	0 2 0
57.88	28.7	0 2 3

Cell and atoms:
Lattice parameters (Å, degrees): 10.2770 4.3061 8.5002 90.00 123.34 90.00
Space group C2/m (No. 12)
Symmetry-distinct sites (fractional):
Np (0.0000, 0.0000, 0.0000) (multiplicity 2)
Np (0.1192, 0.5000, 0.6480) (multiplicity 4)
Fe (0.1297, 0.5000, 0.2677) (multiplicity 4)
Ge (0.1121, 0.0000, 0.4073) (multiplicity 4)
Ge (0.2102, 0.5000, 0.0465) (multiplicity 4)


The following is a calculated PXRD pattern of NpFe2Ge3. It was derived from a structure optimized by DFT (PBE), using a wavelength of 1.5418 Å.

Top 10 peaks for 2θ from 10° to 80°, in order of rising 2θ:
2θ/deg	I (rel.)	(hkl)
14.48	48.2	1 1 0
30.04	30.5	3 1 0
34.40	28.3	2 2 1
35.13	87.1	3 1 1
36.04	27.5	0 0 2
39.75	100.0	1 3 1
40.77	36.7	2 0 2
44.02	23.6	4 2 0
47.03	55.2	2 2 2
62.54	28.3	5 3 1

Cell and atoms:
Lattice parameters (Å, degrees): 9.6283 7.9210 4.9848 90.00 90.00 90.00
Space group Cmcm (No. 63)
Symmetry-distinct sites (fractional):
Np (0.0000, 0.0806, 0.2500) (multiplicity 4)
Fe (0.2068, 0.5000, 0.0000) (multiplicity 8)
Ge (0.0000, 0.4350, 0.2500) (multiplicity 4)
Ge (0.1690, 0.2288, 0.7500) (multiplicity 8)